# Sm3Ho3Tm8
Computed powder X-ray diffraction pattern, a wavelength of 1.5418 Å. Input: a structure optimized by DFT (GGA-PBE).
Peak positions follow from Bragg's law for the DFT cell and can differ from measured ones.

Principal peaks in the range 10 to 90 degrees two-theta, by intensity:
(2 0 0), 2θ 32.11, intensity 100.0; (1 0 5), 2θ 34.22, intensity 36.5; (1 1 4), 2θ 30.11, intensity 22.2; (0 3 3), 2θ 30.87, intensity 19.0; (3 3 2), 2θ 57.26, intensity 13.7; (2 3 3), 2θ 45.15, intensity 13.4; (1 6 5), 2θ 62.99, intensity 9.6; (1 2 3), 2θ 29.33, intensity 8.2; (3 0 5), 2θ 58.62, intensity 7.8; (2 6 0), 2θ 61.68, intensity 7.8

```
data_Sm3Ho3Tm8
_chemical_formula_sum 'Sm6 Ho6 Tm16'
_symmetry_space_group_name_H-M 'I m m m'
_symmetry_Int_Tables_number 71
_symmetry_space_group_name_Hall '-I 2 2'
_cell_length_a 5.5737
_cell_length_b 10.7167
_cell_length_c 14.8434
_cell_angle_alpha 90.00
_cell_angle_beta 90.00
_cell_angle_gamma 90.00
loop_
_atom_site_label
_atom_site_type_symbol
_atom_site_fract_x
_atom_site_fract_y
_atom_site_fract_z
Sm1 Sm 0.0000 0.0000 0.0000
Sm2 Sm 0.0000 0.5000 0.3168
Ho1 Ho 0.0000 0.0000 0.5000
Ho2 Ho 0.0000 0.2955 0.5000
Tm1 Tm 0.0000 0.1602 0.2789
Tm2 Tm 0.0000 0.3430 0.1031
```

# Sm2Ho7Tm3
Computed powder X-ray diffraction pattern, a wavelength of 1.5418 Å. Input: a structure optimized by DFT (GGA-PBE).
Peak positions follow from Bragg's law for the DFT cell and can differ from measured ones.

Principal peaks in the range 10 to 90 degrees two-theta, by intensity:
(1 1 2), 2θ 31.66, intensity 100.0; (0 0 6), 2θ 31.22, intensity 94.2; (2 0 -3), 2θ 31.09, intensity 80.6; (1 1 -4), 2θ 35.19, intensity 79.5; (2 0 3), 2θ 34.12, intensity 64.6; (1 1 1), 2θ 30.03, intensity 58.4; (2 0 -9), 2θ 53.46, intensity 36.8; (3 1 -1), 2θ 50.82, intensity 36.5; (3 1 5), 2θ 60.47, intensity 36.5; (0 2 6), 2θ 62.28, intensity 26.5

```
data_Sm2Ho7Tm3
_chemical_formula_sum 'Sm2 Ho7 Tm3'
_symmetry_space_group_name_H-M 'P 1 2/m 1'
_symmetry_Int_Tables_number 10
_cell_length_a 6.2864
_cell_length_b 3.4915
_cell_length_c 17.2880
_cell_angle_alpha 90.00
_cell_angle_beta 96.17
_cell_angle_gamma 90.00
loop_
_symmetry_equiv_pos_as_xyz
'x,y,z'
'-x,-y,-z'
'-x,y,-z'
'x,-y,z'
loop_
_atom_site_label
_atom_site_type_symbol
_atom_site_fract_x
_atom_site_fract_y
_atom_site_fract_z
Sm1 Sm 0.0613 0.0000 0.1732
Ho1 Ho 0.0000 0.5000 0.5000
Ho2 Ho 0.2274 0.0000 0.6675
Ho3 Ho 0.2563 0.0000 0.9984
Ho4 Ho 0.2753 0.5000 0.3364
Tm1 Tm 0.4508 0.5000 0.8428
Tm2 Tm 0.5000 0.0000 0.5000
```

# Sm7Ho16Tm6
Computed powder X-ray diffraction pattern, a wavelength of 1.5418 Å. Input: a structure optimized by DFT (GGA-PBE).
Peak positions follow from Bragg's law for the DFT cell and can differ from measured ones.

Principal peaks in the range 10 to 90 degrees two-theta, by intensity:
(4 4 0), 2θ 32.18, intensity 100.0; (8 4 4), 2θ 57.38, intensity 29.0; (8 0 0), 2θ 46.15, intensity 15.2; (12 4 0), 2θ 76.59, intensity 8.8; (8 8 0), 2θ 67.33, intensity 8.1; (4 2 0), 2θ 25.31, intensity 6.2; (4 2 2), 2θ 27.78, intensity 5.4; (6 2 0), 2θ 36.10, intensity 4.7; (6 0 0), 2θ 34.19, intensity 4.6; (5 3 1), 2θ 33.70, intensity 4.5

```
data_Sm7Ho16Tm6
_chemical_formula_sum 'Sm28 Ho64 Tm24'
_symmetry_space_group_name_H-M 'F m -3 m'
_symmetry_Int_Tables_number 225
_symmetry_space_group_name_Hall '-F 4 2 3'
_cell_length_a 15.7351
_cell_length_b 15.7351
_cell_length_c 15.7351
_cell_angle_alpha 90.00
_cell_angle_beta 90.00
_cell_angle_gamma 90.00
loop_
_atom_site_label
_atom_site_type_symbol
_atom_site_fract_x
_atom_site_fract_y
_atom_site_fract_z
Sm1 Sm 0.0000 0.0000 0.0000
Sm2 Sm 0.0000 0.2500 0.2500
Ho1 Ho 0.1288 0.1288 0.1288
Ho2 Ho 0.1478 0.1478 0.3522
Tm1 Tm 0.0000 0.0000 0.2565
```

# Sm5Ho3Tm4
Computed powder X-ray diffraction pattern, a wavelength of 1.5418 Å. Input: a structure optimized by DFT (GGA-PBE).
Peak positions follow from Bragg's law for the DFT cell and can differ from measured ones.

Principal peaks in the range 10 to 90 degrees two-theta, by intensity:
(3 1 -1), 2θ 31.91, intensity 100.0; (2 0 -5), 2θ 31.49, intensity 74.0; (0 2 0), 2θ 31.08, intensity 67.5; (2 2 -5), 2θ 44.83, intensity 56.2; (1 1 4), 2θ 33.99, intensity 51.3; (1 1 3), 2θ 28.66, intensity 40.0; (3 3 -1), 2θ 55.82, intensity 20.4; (0 2 8), 2θ 61.98, intensity 16.0; (0 0 8), 2θ 52.17, intensity 13.5; (2 4 -5), 2θ 73.83, intensity 12.9

```
data_Sm5Ho3Tm4
_chemical_formula_sum 'Sm10 Ho6 Tm8'
_symmetry_space_group_name_H-M 'C 1 2/m 1'
_symmetry_Int_Tables_number 12
_cell_length_a 9.7001
_cell_length_b 5.7549
_cell_length_c 14.8298
_cell_angle_alpha 90.00
_cell_angle_beta 108.96
_cell_angle_gamma 90.00
loop_
_symmetry_equiv_pos_as_xyz
'x,y,z'
'-x,-y,-z'
'-x,y,-z'
'x,-y,z'
'x+1/2,y+1/2,z'
'-x+1/2,-y+1/2,-z'
'-x+1/2,y+1/2,-z'
'x+1/2,-y+1/2,z'
loop_
_atom_site_label
_atom_site_type_symbol
_atom_site_fract_x
_atom_site_fract_y
_atom_site_fract_z
Sm1 Sm 0.0000 0.0000 0.0000
Sm2 Sm 0.0453 0.5000 0.2468
Sm3 Sm 0.1673 0.5000 0.4988
Ho1 Ho 0.0000 0.5000 0.0000
Ho2 Ho 0.2055 0.0000 0.2498
Tm1 Tm 0.0613 0.0000 0.6237
Tm2 Tm 0.1768 0.0000 0.8556
```

# Sm7HoTm2
Computed powder X-ray diffraction pattern, a wavelength of 1.5418 Å. Input: a structure optimized by DFT (GGA-PBE).
Peak positions follow from Bragg's law for the DFT cell and can differ from measured ones.

Principal peaks in the range 10 to 90 degrees two-theta, by intensity:
(1 1 1), 2θ 30.52, intensity 100.0; (2 -1 1), 2θ 35.38, intensity 50.6; (3 0 2), 2θ 60.48, intensity 28.7; (1 0 4), 2θ 50.87, intensity 24.2; (3 -3 1), 2θ 60.61, intensity 14.3; (3 1 -1), 2θ 50.98, intensity 12.0; (2 1 5), 2θ 82.87, intensity 10.4; (0 1 7), 2θ 85.52, intensity 6.9; (2 2 2), 2θ 63.45, intensity 6.2; (4 3 -3), 2θ 85.61, intensity 5.5

```
data_Sm7HoTm2
_chemical_formula_sum 'Sm7 Ho1 Tm2'
_symmetry_space_group_name_H-M 'P -1'
_symmetry_Int_Tables_number 2
_cell_length_a 6.2001
_cell_length_b 6.2193
_cell_length_c 9.4962
_cell_angle_alpha 102.70
_cell_angle_beta 109.01
_cell_angle_gamma 99.48
loop_
_symmetry_equiv_pos_as_xyz
'x,y,z'
'-x,-y,-z'
loop_
_atom_site_label
_atom_site_type_symbol
_atom_site_fract_x
_atom_site_fract_y
_atom_site_fract_z
Sm1 Sm 0.0000 0.0000 0.0000
Sm2 Sm 0.1991 0.5979 0.1992
Sm3 Sm 0.2002 0.1008 0.7013
Sm4 Sm 0.4022 0.2005 0.3993
Ho1 Ho 0.0000 0.5000 0.5000
Tm1 Tm 0.4009 0.7004 0.9012
```

# Sm5Ho2Tm5
Computed powder X-ray diffraction pattern, a wavelength of 1.5418 Å. Input: a structure optimized by DFT (GGA-PBE).
Peak positions follow from Bragg's law for the DFT cell and can differ from measured ones.

Principal peaks in the range 10 to 90 degrees two-theta, by intensity:
(3 1 1), 2θ 30.84, intensity 100.0; (0 2 0), 2θ 35.81, intensity 33.6; (3 3 1), 2θ 61.28, intensity 28.5; (6 0 2), 2θ 51.43, intensity 24.1; (0 0 4), 2θ 35.66, intensity 17.0; (3 1 5), 2θ 61.08, intensity 14.4; (6 2 2), 2θ 64.25, intensity 12.3; (6 2 -2), 2θ 51.54, intensity 12.0; (3 3 5), 2θ 83.95, intensity 11.9; (9 3 -1), 2θ 84.12, intensity 5.9

```
data_Sm5Ho2Tm5
_chemical_formula_sum 'Sm10 Ho4 Tm10'
_symmetry_space_group_name_H-M 'C 1 2/m 1'
_symmetry_Int_Tables_number 12
_cell_length_a 15.0478
_cell_length_b 5.0141
_cell_length_c 11.2547
_cell_angle_alpha 90.00
_cell_angle_beta 116.52
_cell_angle_gamma 90.00
loop_
_symmetry_equiv_pos_as_xyz
'x,y,z'
'-x,-y,-z'
'-x,y,-z'
'x,-y,z'
'x+1/2,y+1/2,z'
'-x+1/2,-y+1/2,-z'
'-x+1/2,y+1/2,-z'
'x+1/2,-y+1/2,z'
loop_
_atom_site_label
_atom_site_type_symbol
_atom_site_fract_x
_atom_site_fract_y
_atom_site_fract_z
Sm1 Sm 0.0000 0.0000 0.0000
Sm2 Sm 0.0842 0.0000 0.7506
Sm3 Sm 0.1658 0.0000 0.4992
Ho1 Ho 0.0833 0.5000 0.2485
Tm1 Tm 0.0000 0.5000 0.5000
Tm2 Tm 0.1679 0.5000 0.0010
Tm3 Tm 0.2490 0.0000 0.2479
```

# Sm5HoTm
Computed powder X-ray diffraction pattern, a wavelength of 1.5418 Å. Input: a structure optimized by DFT (GGA-PBE).
Peak positions follow from Bragg's law for the DFT cell and can differ from measured ones.

Principal peaks in the range 10 to 90 degrees two-theta, by intensity:
(1 0 -2), 2θ 31.86, intensity 100.0; (2 -1 1), 2θ 33.37, intensity 44.1; (2 -1 0), 2θ 30.57, intensity 40.2; (0 2 -2), 2θ 31.58, intensity 37.3; (1 1 1), 2θ 33.19, intensity 27.5; (2 -3 2), 2θ 50.28, intensity 25.4; (0 2 -1), 2θ 27.12, intensity 23.3; (1 -1 2), 2θ 32.19, intensity 22.2; (1 2 -1), 2θ 32.30, intensity 20.1; (2 1 0), 2θ 35.76, intensity 19.2

```
data_Sm5HoTm
_chemical_formula_sum 'Sm5 Ho1 Tm1'
_symmetry_space_group_name_H-M 'P -1'
_symmetry_Int_Tables_number 2
_cell_length_a 6.2392
_cell_length_b 6.6069
_cell_length_c 6.6305
_cell_angle_alpha 117.77
_cell_angle_beta 96.28
_cell_angle_gamma 96.30
loop_
_symmetry_equiv_pos_as_xyz
'x,y,z'
'-x,-y,-z'
loop_
_atom_site_label
_atom_site_type_symbol
_atom_site_fract_x
_atom_site_fract_y
_atom_site_fract_z
Sm1 Sm 0.0000 0.0000 0.0000
Sm2 Sm 0.2723 0.0845 0.5839
Sm3 Sm 0.4992 0.6879 0.8074
Ho1 Ho 0.0000 0.5000 0.0000
Tm1 Tm 0.0000 0.5000 0.5000
```

# Sm9Ho2Tm
Computed powder X-ray diffraction pattern, a wavelength of 1.5418 Å. Input: a structure optimized by DFT (GGA-PBE).
Peak positions follow from Bragg's law for the DFT cell and can differ from measured ones.

Principal peaks in the range 10 to 90 degrees two-theta, by intensity:
(2 2 0), 2θ 31.50, intensity 100.0; (2 0 1), 2θ 31.21, intensity 50.3; (2 2 2), 2θ 61.95, intensity 29.0; (1 1 1), 2θ 29.82, intensity 28.3; (6 0 0), 2θ 56.09, intensity 18.6; (4 2 1), 2θ 55.90, intensity 18.4; (4 0 1), 2θ 44.93, intensity 17.9; (3 0 1), 2θ 37.45, intensity 16.1; (6 0 2), 2θ 79.88, intensity 14.0; (2 1 1), 2θ 35.07, intensity 13.9

```
data_Sm9Ho2Tm
_chemical_formula_sum 'Sm9 Ho2 Tm1'
_symmetry_space_group_name_H-M 'P 6/m m m'
_symmetry_Int_Tables_number 191
_symmetry_space_group_name_Hall '-P 6 2'
_cell_length_a 11.3608
_cell_length_b 11.3608
_cell_length_c 3.5264
_cell_angle_alpha 90.00
_cell_angle_beta 90.00
_cell_angle_gamma 120.00
loop_
_atom_site_label
_atom_site_type_symbol
_atom_site_fract_x
_atom_site_fract_y
_atom_site_fract_z
Sm1 Sm 0.0000 0.5000 0.0000
Sm2 Sm 0.1743 0.3486 0.5000
Ho1 Ho 0.3333 0.6667 0.0000
Tm1 Tm 0.0000 0.0000 0.0000
```

# Sm8HoTm3
Computed powder X-ray diffraction pattern, a wavelength of 1.5418 Å. Input: a structure optimized by DFT (GGA-PBE).
Peak positions follow from Bragg's law for the DFT cell and can differ from measured ones.

Principal peaks in the range 10 to 90 degrees two-theta, by intensity:
(0 2 3), 2θ 32.09, intensity 100.0; (2 2 -2), 2θ 32.23, intensity 97.0; (0 6 3), 2θ 54.75, intensity 65.5; (0 4 0), 2θ 30.07, intensity 59.2; (2 0 1), 2θ 30.22, intensity 57.6; (2 4 1), 2θ 43.15, intensity 43.6; (0 0 6), 2θ 58.49, intensity 26.8; (4 2 -1), 2θ 55.05, intensity 20.2; (2 0 -5), 2θ 48.94, intensity 15.1; (0 4 6), 2θ 67.11, intensity 11.9

```
data_Sm8HoTm3
_chemical_formula_sum 'Sm16 Ho2 Tm6'
_symmetry_space_group_name_H-M 'C 1 2/m 1'
_symmetry_Int_Tables_number 12
_cell_length_a 6.9699
_cell_length_b 11.8863
_cell_length_c 9.7816
_cell_angle_alpha 90.00
_cell_angle_beta 104.33
_cell_angle_gamma 90.00
loop_
_symmetry_equiv_pos_as_xyz
'x,y,z'
'-x,-y,-z'
'-x,y,-z'
'x,-y,z'
'x+1/2,y+1/2,z'
'-x+1/2,-y+1/2,-z'
'-x+1/2,y+1/2,-z'
'x+1/2,-y+1/2,z'
loop_
_atom_site_label
_atom_site_type_symbol
_atom_site_fract_x
_atom_site_fract_y
_atom_site_fract_z
Sm1 Sm 0.0695 0.2472 0.3333
Sm2 Sm 0.1802 0.0000 0.1633
Sm3 Sm 0.1796 0.5000 0.1689
Ho1 Ho 0.0000 0.5000 0.5000
Tm1 Tm 0.0000 0.0000 0.5000
Tm2 Tm 0.2500 0.2500 0.0000
```

# SmHo8Tm3
Computed powder X-ray diffraction pattern, a wavelength of 1.5418 Å. Input: a structure optimized by DFT (GGA-PBE).
Peak positions follow from Bragg's law for the DFT cell and can differ from measured ones.

Principal peaks in the range 10 to 90 degrees two-theta, by intensity:
(0 2 2), 2θ 32.89, intensity 100.0; (3 0 1), 2θ 28.63, intensity 23.9; (0 4 0), 2θ 32.02, intensity 23.8; (6 4 0), 2θ 61.24, intensity 22.6; (0 6 2), 2θ 57.63, intensity 20.3; (6 0 0), 2θ 50.71, intensity 19.9; (6 2 2), 2θ 61.77, intensity 16.5; (3 4 1), 2θ 43.48, intensity 15.5; (3 2 5), 2θ 83.90, intensity 14.2; (6 8 0), 2θ 88.59, intensity 8.5

```
data_SmHo8Tm3
_chemical_formula_sum 'Sm2 Ho16 Tm6'
_symmetry_space_group_name_H-M 'I m m 2'
_symmetry_Int_Tables_number 44
_cell_length_a 10.8038
_cell_length_b 11.1803
_cell_length_c 6.2352
_cell_angle_alpha 90.00
_cell_angle_beta 90.00
_cell_angle_gamma 90.00
loop_
_symmetry_equiv_pos_as_xyz
'x,y,z'
'-x,-y,z'
'-x,y,z'
'x,-y,z'
'x+1/2,y+1/2,z+1/2'
'-x+1/2,-y+1/2,z+1/2'
'-x+1/2,y+1/2,z+1/2'
'x+1/2,-y+1/2,z+1/2'
loop_
_atom_site_label
_atom_site_type_symbol
_atom_site_fract_x
_atom_site_fract_y
_atom_site_fract_z
Sm1 Sm 0.0000 0.0000 0.0000
Ho1 Ho 0.1655 0.5000 0.5010
Ho2 Ho 0.1674 0.0000 0.5000
Ho3 Ho 0.1667 0.2515 0.1681
Tm1 Tm 0.0000 0.2512 0.6678
Tm2 Tm 0.0000 0.5000 0.9997
```

# Sm4HoTm2
Computed powder X-ray diffraction pattern, a wavelength of 1.5418 Å. Input: a structure optimized by DFT (GGA-PBE).
Peak positions follow from Bragg's law for the DFT cell and can differ from measured ones.

Principal peaks in the range 10 to 90 degrees two-theta, by intensity:
(1 7 1), 2θ 30.50, intensity 100.0; (2 0 2), 2θ 31.76, intensity 62.0; (3 5 1), 2θ 32.50, intensity 34.5; (4 2 0), 2θ 31.08, intensity 31.6; (3 7 1), 2θ 37.44, intensity 25.8; (2 2 2), 2θ 32.64, intensity 25.3; (2 14 0), 2θ 55.79, intensity 19.9; (1 7 3), 2θ 50.96, intensity 19.6; (0 2 2), 2θ 28.82, intensity 16.4; (0 14 2), 2θ 61.30, intensity 14.0

```
data_Sm4HoTm2
_chemical_formula_sum 'Sm32 Ho8 Tm16'
_symmetry_space_group_name_H-M 'F d d 2'
_symmetry_Int_Tables_number 43
_symmetry_space_group_name_Hall 'F 2 -2d'
_cell_length_a 11.8540
_cell_length_b 24.0183
_cell_length_c 6.4061
_cell_angle_alpha 90.00
_cell_angle_beta 90.00
_cell_angle_gamma 90.00
loop_
_atom_site_label
_atom_site_type_symbol
_atom_site_fract_x
_atom_site_fract_y
_atom_site_fract_z
Sm1 Sm 0.0531 0.0702 0.0000
Sm2 Sm 0.0701 0.1435 0.5313
Ho1 Ho 0.0000 0.0000 0.4932
Tm1 Tm 0.0254 0.2158 0.0574
```

# Sm8Ho6Tm
Computed powder X-ray diffraction pattern, a wavelength of 1.5418 Å. Input: a structure optimized by DFT (GGA-PBE).
Peak positions follow from Bragg's law for the DFT cell and can differ from measured ones.

Principal peaks in the range 10 to 90 degrees two-theta, by intensity:
(3 -2 1), 2θ 32.27, intensity 100.0; (1 1 2), 2θ 33.53, intensity 54.3; (2 1 0), 2θ 29.12, intensity 31.1; (2 0 1), 2θ 25.88, intensity 25.8; (1 0 2), 2θ 29.58, intensity 22.1; (1 4 0), 2θ 51.61, intensity 21.5; (3 0 0), 2θ 33.12, intensity 21.2; (3 2 1), 2θ 51.03, intensity 18.2; (6 -2 1), 2θ 62.19, intensity 11.6; (4 0 2), 2θ 53.21, intensity 10.2

```
data_Sm8Ho6Tm
_chemical_formula_sum 'Sm8 Ho6 Tm1'
_symmetry_space_group_name_H-M 'P -3'
_symmetry_Int_Tables_number 147
_cell_length_a 9.3698
_cell_length_b 9.3698
_cell_length_c 6.5078
_cell_angle_alpha 90.00
_cell_angle_beta 90.00
_cell_angle_gamma 120.00
loop_
_symmetry_equiv_pos_as_xyz
'x,y,z'
'-x,-y,-z'
'-y,x-y,z'
'y,-x+y,-z'
'-x+y,-x,z'
'x-y,x,-z'
loop_
_atom_site_label
_atom_site_type_symbol
_atom_site_fract_x
_atom_site_fract_y
_atom_site_fract_z
Sm1 Sm 0.0351 0.2841 0.3327
Sm2 Sm 0.3333 0.6667 0.3777
Ho1 Ho 0.0926 0.4378 0.8398
Tm1 Tm 0.0000 0.0000 0.0000
```